KBa3V2O8: theoretical powder XRD pattern (λ = 1.5418 Å (Cu Kα)), based on a crystal structure in Alexandria, relaxed with GGA+U.
Neutral-atom scattering factors, no anomalous dispersion.

Structural model:
a = 6.054 Å, b = 6.054 Å, c = 7.978 Å
α = 90.00°, β = 90.00°, γ = 120.00°
Element x y z (fractional)
K 0.000 0.000 0.000
Ba 0.000 0.000 0.500
Ba 0.333 0.667 0.168
Ba 0.667 0.333 0.832
V 0.333 0.667 0.696
V 0.667 0.333 0.304
O 0.176 0.353 0.780
O 0.176 0.824 0.780
O 0.333 0.667 0.475
O 0.353 0.176 0.220
O 0.647 0.824 0.780
O 0.667 0.333 0.525
O 0.824 0.176 0.220
O 0.824 0.647 0.220

Principal peaks in the range 10 to 90 degrees two-theta, sorted by position:
| d/Å | Rel. int. | h k l |
| --- | --- | --- |
| 4.382 | 35 | 1 0 1 |
| 3.175 | 91 | 0 1 2 |
| 3.027 | 100 | 1 1 0 |
| 2.491 | 24 | 0 2 1 |
| 2.191 | 46 | 2 0 2 |
| 1.998 | 18 | 1 1 3 |
| 1.864 | 21 | 1 0 4 |
| 1.775 | 32 | 1 2 2 |
| 1.748 | 19 | 3 0 0 |
| 1.406 | 18 | 2 1 4 |